The following is a theoretical powder X-ray diffraction pattern of TmIn4GaCo. It was derived from DFT lattice parameters and positions (GGA-PBE), using Cu Kα (λ = 1.5418 Å).

Most intense lines, 2θ from 10° to 90°, by intensity:
| two_theta | I_rel | hkl |
| --- | --- | --- |
| 37.3 | 100 | 1 1 2 |
| 40.2 | 53 | 2 0 0 |
| 30.6 | 40 | 1 1 1 |
| 71.1 | 29 | 3 1 2 |
| 55.2 | 22 | 2 0 3 |
| 36.3 | 19 | 0 0 3 |

Cell and atoms:
abc: 4.488 4.488 7.428
angles: 90.00 90.00 90.00
Fractional coordinates of all 7 atoms:
Tm 0.000 0.000 0.000
In 0.000 0.500 0.302
In 0.000 0.500 0.698
In 0.500 0.000 0.302
In 0.500 0.000 0.698
Ga 0.500 0.500 0.000
Co 0.000 0.000 0.500